Structure and simulated powder XRD pattern of LiMoH (a GGA-PBE-relaxed structure; Cu Kα X-rays).

Main lines, in order of falling intensity (10° ≤ 2θ ≤ 80°):
13.86°, intensity 100, hkl 2 0 0; 39.43°, intensity 63, hkl 4 0 2; 39.92°, intensity 29, hkl 4 4 0; 41.99°, intensity 24, hkl 4 2 2; 30.70°, intensity 24, hkl 2 0 2; 31.31°, intensity 23, hkl 2 4 0

Atomic structure:
Cell lengths 12.7755, 12.7755, 6.5437 Å; angles 90.00, 90.00, 90.00 degrees
Space group I4_1/a (No. 88, origin choice 2)
Symmetry-distinct sites (fractional):
Li 0.0079 0.1281 0.4917 (multiplicity 16)
Li 0.0126 0.1196 0.0197 (multiplicity 16)
Mo 0.1266 0.0062 0.7408 (multiplicity 16)
Mo 0.1309 0.4866 0.7443 (multiplicity 16)
H 0.1141 0.3747 0.3773 (multiplicity 16)
H 0.1213 0.4120 0.9994 (multiplicity 16)


Structure and simulated powder XRD pattern of Li2MoH2 (a GGA-PBE-relaxed structure; Cu Kα X-rays).

Main lines, in order of falling intensity (10° ≤ 2θ ≤ 80°):
21.75°, intensity 100, hkl 1 1 0; 39.23°, intensity 50, hkl 1 1 1; 30.96°, intensity 41, hkl 2 0 0; 45.30°, intensity 30, hkl 2 0 1; 49.91°, intensity 26, hkl 3 1 0; 60.68°, intensity 22, hkl 3 1 1

Atomic structure:
Cell lengths 5.7777, 5.7777, 2.7763 Å; angles 90.00, 90.00, 90.00 degrees
Space group P4/mbm (No. 127)
Symmetry-distinct sites (fractional):
Li 0.1412 0.3588 0.0000 (multiplicity 4)
Mo 0.0000 0.0000 0.5000 (multiplicity 2)
H 0.1979 0.6979 0.5000 (multiplicity 4)